Diffraction record for CoRe2Mo2S8. The X-ray powder pattern is theoretical, not measured: it uses a GGA-PBE-relaxed structure and Cu Kα (weighted mean of Kα1 and Kα2).

Crystal structure
abc: 6.810 6.869 9.680
angles: 90.00 90.00 90.00
Space group Imm2 (No. 44)
Asymmetric unit:
Co (0.000, 0.000, 0.000) (multiplicity 2)
Re (0.208, 0.000, 0.395) (multiplicity 4)
Mo (0.000, 0.206, 0.602) (multiplicity 4)
S (0.000, 0.268, 0.363) (multiplicity 4)
S (0.000, 0.273, 0.867) (multiplicity 4)
S (0.228, 0.500, 0.133) (multiplicity 4)
S (0.234, 0.500, 0.636) (multiplicity 4)

Top 10 peaks for 5 to 70 degrees two-theta, in order of rising 2θ:
hkl  2θ (°)  intensity
0 1 1  15.84  100.0
0 0 2  18.34  30.3
0 1 3  30.61  36.1
2 1 1  30.73  35.1
0 0 4  37.17  58.7
2 1 3  40.70  15.3
2 0 4  46.07  18.6
0 3 3  48.82  25.1
3 0 3  49.04  19.8
2 2 4  53.58  30.0